# 1
# U2Tl5Cl12
Theoretical XRD peak list, Cu Kα (λ = 1.5418 Å). Input: a cell relaxed with PBE.
Peak positions follow from Bragg's law for the DFT cell and can differ from measured ones.

Cell and atoms:
```
U2Tl5Cl12
1.0
8.807 -4.135 0.000
8.807 4.135 0.000
-3.483 0.000 9.941
U Tl Cl
2 5 12
Direct
0.250 0.750 0.000
0.750 0.250 0.000
0.000 0.000 0.500
0.282 0.282 0.620
0.321 0.321 0.236
0.679 0.679 0.764
0.718 0.718 0.380
0.006 0.006 0.175
0.101 0.589 0.929
0.110 0.601 0.449
0.399 0.890 0.551
0.411 0.899 0.071
0.494 0.494 0.823
0.506 0.506 0.177
0.589 0.101 0.929
0.601 0.110 0.449
0.890 0.399 0.551
0.899 0.411 0.071
0.994 0.994 0.825
```

Main lines, by intensity (10° ≤ 2θ ≤ 90°):
2θ = 19.28°, I = 100; 2θ = 19.99°, I = 89; 2θ = 15.99°, I = 74; 2θ = 23.30°, I = 65; 2θ = 27.83°, I = 57; 2θ = 39.07°, I = 56; 2θ = 28.07°, I = 51; 2θ = 17.50°, I = 47; 2θ = 35.86°, I = 46; 2θ = 33.84°, I = 42

---

# 2
# UTlVCl6
Theoretical XRD peak list, Cu Kα (λ = 1.5418 Å). Input: a cell relaxed with PBE.
Peak positions follow from Bragg's law for the DFT cell and can differ from measured ones.

Cell and atoms:
```
UTlVCl6
1.0
6.800 0.000 0.000
-3.400 5.889 0.000
0.000 0.000 14.329
U Tl V Cl
2 2 2 12
Direct
0.333 0.667 0.250
0.667 0.333 0.750
0.000 0.000 0.000
0.000 0.000 0.500
0.333 0.667 0.750
0.667 0.333 0.250
0.029 0.379 0.647
0.029 0.650 0.853
0.350 0.379 0.853
0.350 0.971 0.647
0.379 0.029 0.147
0.379 0.350 0.353
0.621 0.650 0.647
0.621 0.971 0.853
0.650 0.029 0.353
0.650 0.621 0.147
0.971 0.350 0.147
0.971 0.621 0.353
```

Main lines, by intensity (10° ≤ 2θ ≤ 90°):
2θ = 19.51°, I = 100; 2θ = 36.43°, I = 57; 2θ = 26.21°, I = 29; 2θ = 42.53°, I = 27; 2θ = 32.89°, I = 25; 2θ = 16.27°, I = 21; 2θ = 46.25°, I = 19; 2θ = 40.77°, I = 13; 2θ = 60.25°, I = 13; 2θ = 23.99°, I = 13

---

# 3
# Tl4VCl6
Theoretical XRD peak list, Cu Kα (λ = 1.5418 Å). Input: a cell relaxed with PBE.
Peak positions follow from Bragg's law for the DFT cell and can differ from measured ones.

Cell and atoms:
```
Tl4VCl6
1.0
8.491 0.000 0.000
0.000 8.491 0.000
0.000 0.000 9.226
Tl V Cl
8 2 12
Direct
0.157 0.343 0.250
0.157 0.343 0.750
0.343 0.843 0.250
0.343 0.843 0.750
0.657 0.157 0.250
0.657 0.157 0.750
0.843 0.657 0.250
0.843 0.657 0.750
0.000 0.000 0.000
0.500 0.500 0.500
0.000 0.000 0.269
0.000 0.000 0.731
0.121 0.729 0.000
0.229 0.621 0.500
0.271 0.121 0.000
0.379 0.229 0.500
0.500 0.500 0.231
0.500 0.500 0.769
0.621 0.771 0.500
0.729 0.879 0.000
0.771 0.379 0.500
0.879 0.271 0.000
```

Main lines, by intensity (10° ≤ 2θ ≤ 90°):
2θ = 30.49°, I = 100; 2θ = 23.43°, I = 54; 2θ = 19.24°, I = 34; 2θ = 33.37°, I = 27; 2θ = 38.80°, I = 20; 2θ = 46.04°, I = 19; 2θ = 52.28°, I = 15; 2θ = 39.05°, I = 15; 2θ = 48.40°, I = 14; 2θ = 49.65°, I = 14

---

# 4
# Tl4VCl5
Theoretical XRD peak list, Cu Kα (λ = 1.5418 Å). Input: a cell relaxed with PBE.
Peak positions follow from Bragg's law for the DFT cell and can differ from measured ones.

Cell and atoms:
```
Tl4VCl5
1.0
-4.909 4.909 3.047
4.909 -4.909 3.047
4.909 4.909 -3.047
Tl V Cl
4 1 5
Direct
0.068 0.675 0.743
0.325 0.068 0.393
0.675 0.932 0.607
0.932 0.325 0.257
0.465 0.465 0.000
0.057 0.057 0.000
0.286 0.386 0.663
0.386 0.723 0.100
0.623 0.286 0.900
0.723 0.623 0.337
```

Main lines, by intensity (10° ≤ 2θ ≤ 90°):
2θ = 24.99°, I = 100; 2θ = 28.75°, I = 58; 2θ = 31.01°, I = 46; 2θ = 29.31°, I = 42; 2θ = 41.52°, I = 42; 2θ = 48.72°, I = 28; 2θ = 36.13°, I = 26; 2θ = 12.75°, I = 25; 2θ = 51.29°, I = 22; 2θ = 49.44°, I = 22

---

# 5
# TlV4Cl8
Theoretical XRD peak list, Cu Kα (λ = 1.5418 Å). Input: a cell relaxed with PBE.
Peak positions follow from Bragg's law for the DFT cell and can differ from measured ones.

Cell and atoms:
```
TlV4Cl8
1.0
3.699 2.136 7.827
-3.699 2.136 7.827
0.000 -4.271 7.827
Tl V Cl
1 4 8
Direct
0.000 0.000 0.000
0.000 0.000 0.500
0.000 0.500 0.000
0.500 0.000 0.000
0.500 0.500 0.500
0.223 0.223 0.223
0.223 0.725 0.725
0.275 0.275 0.777
0.275 0.777 0.275
0.725 0.223 0.725
0.725 0.725 0.223
0.777 0.275 0.275
0.777 0.777 0.777
```

Main lines, by intensity (10° ≤ 2θ ≤ 90°):
2θ = 31.82°, I = 100; 2θ = 14.33°, I = 66; 2θ = 15.76°, I = 53; 2θ = 49.27°, I = 32; 2θ = 26.66°, I = 31; 2θ = 20.52°, I = 28; 2θ = 11.31°, I = 28; 2θ = 41.74°, I = 26; 2θ = 23.49°, I = 21; 2θ = 24.06°, I = 20

---

# 6
# Tl2W3Cl9
Theoretical XRD peak list, Cu Kα (λ = 1.5418 Å). Input: a cell relaxed with PBE.
Peak positions follow from Bragg's law for the DFT cell and can differ from measured ones.

Cell and atoms:
```
Tl2W3Cl9
1.0
5.212 -8.490 0.000
5.212 8.490 0.000
-4.383 0.000 8.609
Tl W Cl
4 6 18
Direct
0.038 0.726 0.666
0.274 0.962 0.334
0.726 0.038 0.666
0.962 0.274 0.334
0.282 0.460 0.879
0.373 0.373 0.106
0.460 0.282 0.879
0.540 0.718 0.121
0.627 0.627 0.894
0.718 0.540 0.121
0.008 0.394 0.688
0.094 0.308 0.985
0.193 0.193 0.680
0.242 0.242 0.273
0.290 0.710 0.000
0.308 0.094 0.985
0.379 0.574 0.696
0.394 0.008 0.688
0.426 0.621 0.304
0.574 0.379 0.696
0.606 0.992 0.312
0.621 0.426 0.304
0.692 0.906 0.015
0.710 0.290 0.000
0.758 0.758 0.727
0.807 0.807 0.320
0.906 0.692 0.015
0.992 0.606 0.312
```

Main lines, by intensity (10° ≤ 2θ ≤ 90°):
2θ = 11.61°, I = 100; 2θ = 14.65°, I = 67; 2θ = 10.86°, I = 59; 2θ = 33.30°, I = 58; 2θ = 18.36°, I = 54; 2θ = 17.72°, I = 53; 2θ = 24.23°, I = 51; 2θ = 10.28°, I = 46; 2θ = 47.28°, I = 43; 2θ = 17.09°, I = 40

---

# 7
# Tl2WCl5
Theoretical XRD peak list, Cu Kα (λ = 1.5418 Å). Input: a cell relaxed with PBE.
Peak positions follow from Bragg's law for the DFT cell and can differ from measured ones.

Cell and atoms:
```
Tl2WCl5
1.0
11.444 0.000 0.000
0.000 7.451 0.000
-4.422 0.000 6.153
Tl W Cl
4 2 10
Direct
0.000 0.000 0.000
0.003 0.500 0.515
0.500 0.500 0.000
0.503 0.000 0.515
0.248 0.500 0.245
0.748 0.000 0.245
0.191 0.270 0.412
0.191 0.730 0.412
0.230 0.276 0.001
0.230 0.724 0.001
0.486 0.500 0.547
0.691 0.230 0.412
0.691 0.770 0.412
0.730 0.224 0.001
0.730 0.776 0.001
0.986 0.000 0.547
```

Main lines, by intensity (10° ≤ 2θ ≤ 90°):
2θ = 24.61°, I = 100; 2θ = 26.35°, I = 85; 2θ = 33.82°, I = 81; 2θ = 15.24°, I = 46; 2θ = 23.88°, I = 40; 2θ = 23.59°, I = 40; 2θ = 54.26°, I = 34; 2θ = 30.76°, I = 27; 2θ = 38.77°, I = 27; 2θ = 40.97°, I = 26

---

# 8
# Tl3WCl7
Theoretical XRD peak list, Cu Kα (λ = 1.5418 Å). Input: a cell relaxed with PBE.
Peak positions follow from Bragg's law for the DFT cell and can differ from measured ones.

Cell and atoms:
```
Tl3WCl7
1.0
5.124 -7.576 0.000
5.124 7.576 0.000
0.000 0.000 9.366
Tl W Cl
6 2 14
Direct
0.006 0.006 0.000
0.041 0.495 0.250
0.495 0.041 0.750
0.505 0.959 0.250
0.959 0.505 0.750
0.994 0.994 0.500
0.500 0.500 0.000
0.500 0.500 0.500
0.140 0.860 0.750
0.145 0.855 0.250
0.229 0.440 0.955
0.230 0.441 0.545
0.440 0.229 0.045
0.441 0.230 0.455
0.447 0.553 0.250
0.553 0.447 0.750
0.559 0.770 0.955
0.560 0.771 0.545
0.770 0.559 0.045
0.771 0.560 0.455
0.855 0.145 0.750
0.860 0.140 0.250
```

Main lines, by intensity (10° ≤ 2θ ≤ 90°):
2θ = 20.93°, I = 100; 2θ = 22.32°, I = 94; 2θ = 35.15°, I = 65; 2θ = 25.77°, I = 38; 2θ = 44.17°, I = 30; 2θ = 41.93°, I = 29; 2θ = 23.49°, I = 18; 2θ = 39.80°, I = 17; 2θ = 38.44°, I = 17; 2θ = 35.03°, I = 15